# 1
For SrLi2Pr2Si2, DFT lattice parameters and positions (GGA-PBE) gives the calculated powder diffraction line list in this record (Cu Kα (weighted mean of Kα1 and Kα2)).
Kinematic intensities with the Lorentz-polarization factor, no thermal factor.

Cell and atoms:
Unit cell a=4.6687 b=4.6687 c=28.4766 alpha=90.00 beta=90.00 gamma=120.00
Space group R-3m (No. 166, hexagonal axes)
Symmetry-distinct sites (fractional):
Sr: 0.0000 0.0000 0.0000 (multiplicity 3)
Li: 0.0000 0.0000 0.4084 (multiplicity 6)
Pr: 0.0000 0.0000 0.1289 (multiplicity 6)
Si: 0.0000 0.0000 0.2535 (multiplicity 6)

The 10 most intense peaks (5° ≤ 2θ ≤ 70°), low angle first:
| (hkl) | two_theta | intensity |
| --- | --- | --- |
| 0 0 3 | 9.3 | 43 |
| 1 0 1 | 22.2 | 100 |
| 1 0 4 | 25.3 | 19 |
| 1 0 7 | 31.2 | 64 |
| 0 1 8 | 33.5 | 83 |
| 1 1 0 | 38.6 | 61 |
| 1 1 9 | 48.5 | 17 |
| 2 0 8 | 52.0 | 24 |
| 1 1 15 | 63.1 | 21 |
| 1 2 8 | 66.6 | 24 |

***

# 2
For Ac2Ag2Pb, DFT lattice parameters and positions (GGA-PBE) gives the calculated powder diffraction line list in this record (Cu Kα (weighted mean of Kα1 and Kα2)).
Kinematic intensities with the Lorentz-polarization factor, no thermal factor.

Cell and atoms:
Unit cell a=4.8483 b=15.8708 c=3.9567 alpha=90.00 beta=90.00 gamma=90.00
Space group Cmmm (No. 65)
Symmetry-distinct sites (fractional):
Ac: 0.0000 0.1252 0.0000 (multiplicity 4)
Ag: 0.0000 0.2980 0.5000 (multiplicity 4)
Pb: 0.0000 0.5000 0.5000 (multiplicity 2)

The 10 most intense peaks (5° ≤ 2θ ≤ 70°), low angle first:
| (hkl) | two_theta | intensity |
| --- | --- | --- |
| 1 3 0 | 24.9 | 26 |
| 1 1 1 | 29.7 | 100 |
| 0 4 1 | 31.9 | 64 |
| 1 5 0 | 33.8 | 75 |
| 2 0 0 | 37.1 | 31 |
| 0 0 2 | 45.9 | 17 |
| 2 4 1 | 49.7 | 38 |
| 1 5 2 | 58.1 | 26 |
| 2 0 2 | 60.4 | 15 |
| 1 9 1 | 60.6 | 15 |

***

# 3
For Ac2NpCuO6, DFT lattice parameters and positions (GGA-PBE) gives the calculated powder diffraction line list in this record (Cu Kα (weighted mean of Kα1 and Kα2)).
Kinematic intensities with the Lorentz-polarization factor, no thermal factor.

Cell and atoms:
Unit cell a=10.7095 b=5.7549 c=6.0147 alpha=90.00 beta=122.05 gamma=90.00
Space group C2/m (No. 12)
Symmetry-distinct sites (fractional):
Ac: 0.2416 0.0000 0.2144 (multiplicity 4)
Np: 0.0000 0.0000 0.5000 (multiplicity 2)
Cu: 0.0000 0.5000 0.0000 (multiplicity 2)
O: 0.0700 0.2503 0.8196 (multiplicity 8)
O: 0.2200 0.0000 0.6024 (multiplicity 4)

The 10 most intense peaks (5° ≤ 2θ ≤ 70°), low angle first:
| (hkl) | two_theta | intensity |
| --- | --- | --- |
| 1 1 0 | 18.3 | 21 |
| 1 1 1 | 28.8 | 100 |
| 3 1 -1 | 29.5 | 93 |
| 2 0 -2 | 29.7 | 38 |
| 0 2 0 | 31.1 | 41 |
| 4 0 0 | 39.7 | 23 |
| 2 2 -2 | 43.5 | 40 |
| 6 0 -2 | 51.3 | 36 |
| 5 1 -3 | 53.1 | 19 |
| 1 3 1 | 53.9 | 22 |

***

# 4
For PrDyTl4, DFT lattice parameters and positions (GGA-PBE) gives the calculated powder diffraction line list in this record (Cu Kα (weighted mean of Kα1 and Kα2)).
Kinematic intensities with the Lorentz-polarization factor, no thermal factor.

Cell and atoms:
Unit cell a=3.8694 b=5.0917 c=8.7644 alpha=90.00 beta=90.06 gamma=90.00
Space group Pm (No. 6)
Symmetry-distinct sites (fractional):
Pr: 0.0000 0.0000 0.0000 (multiplicity 1)
Dy: 0.0009 0.5000 0.4992 (multiplicity 1)
Tl: 0.3506 0.0000 0.6617 (multiplicity 1)
Tl: 0.3772 0.5000 0.1710 (multiplicity 1)
Tl: 0.6252 0.5000 0.8276 (multiplicity 1)
Tl: 0.6485 0.0000 0.3383 (multiplicity 1)

The 10 most intense peaks (5° ≤ 2θ ≤ 70°), low angle first:
| (hkl) | two_theta | intensity |
| --- | --- | --- |
| 1 0 -2 | 30.8 | 100 |
| 0 2 0 | 35.3 | 24 |
| 0 1 3 | 35.4 | 47 |
| 1 2 -2 | 47.5 | 21 |
| 1 0 4 | 47.7 | 10 |
| 2 1 -1 | 51.6 | 24 |
| 1 3 1 | 60.5 | 10 |
| 1 2 4 | 60.7 | 10 |
| 1 1 -5 | 60.8 | 10 |
| 0 3 3 | 63.4 | 9 |